K2PrCuI6: calculated powder XRD pattern (Cu Kα (λ = 1.5418 Å)), based on a DFT-relaxed cell (GGA-PBE, Alexandria).
Intensities are scaled so that the largest is 100.

The 8 most intense peaks (2θ = 5–70°), by angle:
2θ/deg  d [Å]  I/Imax  (hkl)
14.79  5.990  72  2 0 0
25.76  3.459  69  2 2 2
29.83  2.995  100  4 0 0
33.45  2.679  38  4 2 0
42.69  2.118  72  4 4 0
45.42  1.997  20  6 0 0
50.53  1.806  29  6 2 2
52.95  1.729  25  4 4 4

Crystal structure
```
data_K2PrCuI6
_cell_length_a 11.9808
_cell_length_b 11.9808
_cell_length_c 11.9808
_cell_angle_alpha 90.00
_cell_angle_beta 90.00
_cell_angle_gamma 90.00
_symmetry_space_group_name_H-M 'F m -3 m'
_symmetry_Int_Tables_number 225
_symmetry_space_group_name_Hall '-F 4 2 3'
loop_
_atom_site_label
_atom_site_type_symbol
_atom_site_fract_x
_atom_site_fract_y
_atom_site_fract_z
K1 K 0.2500 0.2500 0.2500
Pr1 Pr 0.0000 0.0000 0.0000
Cu1 Cu 0.0000 0.0000 0.5000
I1 I 0.0000 0.0000 0.2606
```

Y3Sc2Zn3: calculated powder XRD pattern (Cu Kα (λ = 1.5418 Å)), based on a DFT-relaxed cell (GGA-PBE, Alexandria).
Intensities are scaled so that the largest is 100.

The 8 most intense peaks (2θ = 5–70°), by angle:
2θ/deg  d [Å]  I/Imax  (hkl)
8.46  10.457  11  0 0 2
34.30  2.614  20  0 0 8
35.44  2.533  100  0 2 0
50.12  1.820  13  0 2 8
51.88  1.762  7  2 0 0
62.18  1.493  11  1 1 12
63.59  1.463  13  1 3 4
64.38  1.447  7  2 2 0

Crystal structure
```
data_Y3Sc2Zn3
_cell_length_a 3.5245
_cell_length_b 5.0708
_cell_length_c 20.9131
_cell_angle_alpha 90.00
_cell_angle_beta 90.00
_cell_angle_gamma 90.00
_symmetry_space_group_name_H-M 'I m m m'
_symmetry_Int_Tables_number 71
_symmetry_space_group_name_Hall '-I 2 2'
loop_
_atom_site_label
_atom_site_type_symbol
_atom_site_fract_x
_atom_site_fract_y
_atom_site_fract_z
Y1 Y 0.0000 0.0000 0.0000
Y2 Y 0.0000 0.5000 0.1223
Sc1 Sc 0.0000 0.0000 0.2317
Zn1 Zn 0.0000 0.0000 0.5000
Zn2 Zn 0.0000 0.5000 0.3774
```